No. 1
# BaNi3Pb6
Computed XRD peak list, Cu Kα (λ = 1.5418 Å). Input: a DFT-relaxed cell (GGA-PBE, OQMD).

Structure:
a = 8.457 Å, b = 27.121 Å, c = 4.433 Å
α = 90.00°, β = 90.00°, γ = 90.00°
Space group Cmcm (No. 63)
Symmetry-distinct sites (fractional):
Ba  0.000  0.087  0.250 [4 per cell]
Ni  0.000  0.465  0.750 [4 per cell]
Ni  0.185  0.279  0.750 [8 per cell]
Pb  0.000  0.248  0.250 [4 per cell]
Pb  0.000  0.364  0.750 [4 per cell]
Pb  0.197  0.454  0.250 [8 per cell]
Pb  0.202  0.173  0.750 [8 per cell]

Peak list (6 most intense, 2θ from 10° to 90°, sorted by position)
hkl	2θ/deg	Rel. int.
1 5 1	28.1	65
2 2 1	29.9	100
0 8 1	33.3	52
2 8 0	33.9	36
1 11 0	38.0	33
0 0 2	40.7	45

---

No. 2
# LaCo5H4
Computed XRD peak list, Cu Kα (λ = 1.5418 Å). Input: a DFT-relaxed cell (GGA-PBE, OQMD).

Structure:
a = 5.348 Å, b = 8.817 Å, c = 4.066 Å
α = 90.00°, β = 90.00°, γ = 90.00°
Space group Cmm2 (No. 35)
Symmetry-distinct sites (fractional):
La  0.000  0.000  0.000 [2 per cell]
Co  0.000  0.364  0.022 [4 per cell]
Co  0.000  0.500  0.517 [2 per cell]
Co  0.250  0.250  0.512 [4 per cell]
H  0.000  0.145  0.496 [4 per cell]
H  0.250  0.250  0.938 [4 per cell]

Peak list (6 most intense, 2θ from 10° to 90°, sorted by position)
hkl	2θ/deg	Rel. int.
1 1 1	29.4	37
0 2 1	29.9	43
2 2 0	39.4	60
2 0 1	40.4	59
1 3 1	41.5	100
0 0 2	44.6	44

---

No. 3
# LaThTa
Computed XRD peak list, Cu Kα (λ = 1.5418 Å). Input: a DFT-relaxed cell (GGA-PBE, OQMD).

Structure:
a = 7.256 Å, b = 7.256 Å, c = 7.256 Å
α = 90.00°, β = 90.00°, γ = 90.00°
Space group F-43m (No. 216)
Symmetry-distinct sites (fractional):
La  0.000  0.000  0.000 [4 per cell]
Th  0.250  0.250  0.250 [4 per cell]
Ta  0.000  0.000  0.500 [4 per cell]

Peak list (6 most intense, 2θ from 10° to 90°, sorted by position)
hkl	2θ/deg	Rel. int.
1 1 1	21.2	41
2 2 0	35.0	100
3 1 1	41.3	23
4 0 0	50.3	18
4 2 2	62.7	38
6 2 0	84.4	17

---

- What is the formula in the first record?
  BaNi3Pb6

---

- Which formula does entry 1 have?
  BaNi3Pb6